Structure and calculated X-ray diffraction stick pattern of NaCoH3C3O6 (a structure optimized by DFT (PBE+U); Cu Kα (weighted mean of Kα1 and Kα2)).
Intensities are scaled so that the largest is 100.

Crystal structure
```
NaCoH3C3O6
1.0
6.383 -4.557 0.000
6.383 4.557 0.000
-6.166 0.000 6.498
Na Co H C O
2 2 6 6 12
Direct
0.089 0.089 0.239
0.911 0.911 0.761
0.585 0.226 0.565
0.774 0.415 0.435
0.084 0.916 0.500
0.331 0.654 0.226
0.346 0.669 0.774
0.381 0.198 0.013
0.553 0.447 0.000
0.802 0.619 0.987
0.236 0.540 0.644
0.367 0.175 0.117
0.460 0.764 0.356
0.675 0.325 0.000
0.825 0.633 0.883
0.962 0.038 0.500
0.050 0.581 0.605
0.215 0.083 0.049
0.307 0.369 0.548
0.419 0.950 0.395
0.517 0.247 0.304
0.631 0.693 0.452
0.703 0.222 0.844
0.753 0.483 0.696
0.778 0.297 0.156
0.844 0.042 0.556
0.917 0.785 0.951
0.958 0.156 0.444
```

Largest 10 diffraction maxima, by angle, 10 to 80 degrees two-theta:
13.6°, I 100
13.9°, I 55
19.5°, I 12
23.9°, I 11
30.8°, I 9
31.0°, I 15
31.5°, I 18
41.7°, I 9
42.1°, I 11
42.5°, I 8